Structure and computed X-ray diffraction stick pattern of NiMo3 (a structure optimized by DFT (PBE); Cu Kα).
No peak broadening, texture or thermal motion is included.

Unit cell a=5.5307 b=5.5307 c=4.4195 alpha=90.00 beta=90.00 gamma=120.00
Atoms (fractional coordinates):
Ni 0.3333 0.6667 0.2500
Ni 0.6667 0.3333 0.7500
Mo 0.1649 0.3297 0.7500
Mo 0.1649 0.8351 0.7500
Mo 0.3297 0.1649 0.2500
Mo 0.6703 0.8351 0.7500
Mo 0.8351 0.1649 0.2500
Mo 0.8351 0.6703 0.2500

Top 10 peaks for 15° ≤ 2θ ≤ 90°, by angle:
d = 2.395 Å, I 24.7, hkl 2 0 0
d = 2.210 Å, I 25.8, hkl 0 0 2
d = 2.106 Å, I 100.0, hkl 2 0 1
d = 1.624 Å, I 14.2, hkl 2 0 2
d = 1.383 Å, I 16.3, hkl 2 2 0
d = 1.255 Å, I 17.8, hkl 2 0 3
d = 1.197 Å, I 2.6, hkl 4 0 0
d = 1.172 Å, I 19.3, hkl 2 2 2
d = 1.156 Å, I 13.9, hkl 4 0 1
d = 1.105 Å, I 2.8, hkl 0 0 4